This entry pairs a crystal structure of Li2MnB2O6 with its calculated powder diffractogram. Radiation: a wavelength of 1.5418 Å. Structure: the PBE+U geometry in the Materials Project.

Most intense lines, 10° ≤ 2θ ≤ 90°, in order of falling intensity:
(0 2 0), 20.88 deg, intensity 100; (1 0 0), 18.68 deg, intensity 50; (0 0 4), 36.48 deg, intensity 28; (1 3 -1), 36.10 deg, intensity 24; (1 1 -2), 22.47 deg, intensity 14; (2 3 -2), 47.44 deg, intensity 10; (0 1 6), 57.09 deg, intensity 8; (1 3 -2), 37.61 deg, intensity 8; (1 1 -6), 51.92 deg, intensity 7; (1 1 -1), 20.00 deg, intensity 7

Crystal structure
```
data_Li2MnB2O6
_chemical_formula_sum 'Li8 Mn4 B8 O24'
_cell_length_a 5.2221
_cell_length_b 8.4922
_cell_length_c 10.8325
_cell_angle_alpha 90.00
_cell_angle_beta 114.56
_cell_angle_gamma 90.00
_symmetry_space_group_name_H-M 'P 1 21/c 1'
_symmetry_Int_Tables_number 14
_symmetry_space_group_name_Hall '-P 2ybc'
loop_
_atom_site_label
_atom_site_type_symbol
_atom_site_fract_x
_atom_site_fract_y
_atom_site_fract_z
Li1 Li 0.0550 0.0376 0.3765
Li2 Li 0.4364 0.6701 0.1238
Mn1 Mn 0.0368 0.2138 0.1286
B1 B 0.0456 0.1336 0.8695
B2 B 0.4629 0.1937 0.6199
O1 O 0.0796 0.5160 0.3348
O2 O 0.1145 0.6800 0.5621
O3 O 0.1681 0.2459 0.3239
O4 O 0.2395 0.0907 0.5967
O5 O 0.3083 0.6574 0.9054
O6 O 0.4148 0.1598 0.1636
```